[1]
Simulated powder diffraction line list of Sm2Ho5Cd for Cu Ka, from the PBE geometry in Alexandria.

Atomic structure:
Cell: 6.6226 6.6233 7.0809 Å, 105.51 105.14 115.72°
Atoms (fractional coordinates):
1 Sm 0.0000 0.0000 0.0000
2 Sm 0.1081 0.5827 0.6876
3 Ho 0.0144 0.9897 0.5049
4 Ho 0.1128 0.5842 0.1738
5 Ho 0.5166 0.4895 0.5051
6 Ho 0.5271 0.4729 0.0002
7 Ho 0.5895 0.0610 0.1743
8 Cd 0.5917 0.0693 0.6606

Main lines, most intense first (15° ≤ 2θ ≤ 90°):
2θ (°)  Rel. int.
33.36  1000
31.92  371
33.19  264
29.22  255
33.43  245
51.61  194

---

[2]
Simulated powder diffraction line list of LaHoSbAs for Cu Ka, from the PBE geometry in Alexandria.

Atomic structure:
Cell: 7.5870 7.5870 7.5870 Å, 33.39 33.39 33.39°
Atoms (fractional coordinates):
1 La 0.0000 0.0000 0.0000
2 Ho 0.4892 0.4892 0.4892
3 Sb 0.2394 0.2394 0.2394
4 As 0.7489 0.7489 0.7489

Main lines, most intense first (15° ≤ 2θ ≤ 90°):
2θ (°)  Rel. int.
28.91  1000
41.43  384
41.27  363
51.31  202
67.98  172
67.76  152